The following is a computed powder diffractogram of Ta2B2Mo. It was derived from a crystal structure in Alexandria, relaxed with PBE, using Cu Kα (weighted mean of Kα1 and Kα2).
No peak broadening, texture or thermal motion is included.

Top 10 peaks for 2θ from 10° to 90°, in order of falling intensity:
d (Å), 2θ (°), intensity
2.102, 43.03, 100
2.238, 40.29, 91
2.736, 32.73, 90
1.935, 46.97, 37
3.284, 27.15, 36
1.352, 69.52, 34
2.616, 34.28, 33
1.320, 71.45, 31
1.408, 66.40, 24
1.484, 62.61, 24

```
Ta2B2Mo
1.0
6.1176 0.0000 0.0000
0.0000 6.1176 0.0000
0.0000 0.0000 3.2840
Ta B Mo
4 4 2
direct
0.1782 0.3218 0.0000
0.3218 0.8218 0.0000
0.6782 0.1782 0.0000
0.8218 0.6782 0.0000
0.1092 0.6092 0.5000
0.3908 0.1092 0.5000
0.6092 0.8908 0.5000
0.8908 0.3908 0.5000
0.0000 0.0000 0.5000
0.5000 0.5000 0.5000
```

=====

The following is a computed powder diffractogram of Tb3SmEr8. It was derived from a crystal structure in Alexandria, relaxed with PBE, using Cu Kα (weighted mean of Kα1 and Kα2).
No peak broadening, texture or thermal motion is included.

Top 10 peaks for 2θ from 10° to 90°, in order of falling intensity:
d (Å), 2θ (°), intensity
2.728, 32.83, 100
3.123, 28.58, 24
2.801, 31.95, 24
1.516, 61.12, 23
1.603, 57.50, 20
1.803, 50.62, 20
1.504, 61.65, 16
2.085, 43.39, 16
1.155, 83.73, 14
1.106, 88.36, 8

```
Tb3SmEr8
1.0
-5.4073 5.6026 3.1250
5.4073 -5.6026 3.1250
5.4073 5.6026 -3.1250
Tb Sm Er
3 1 8
direct
0.0000 0.0000 0.0000
0.0841 0.3337 0.7504
0.5833 0.3337 0.2496
0.4995 0.9995 0.5000
0.0010 0.3335 0.3325
0.0010 0.6685 0.6675
0.0813 0.6650 0.0821
0.0813 0.9992 0.4163
0.5009 0.3344 0.8335
0.5009 0.6675 0.1665
0.5829 0.6650 0.5837
0.5829 0.9992 0.9179
```

=====

The following is a computed powder diffractogram of TbSmSe. It was derived from a crystal structure in Alexandria, relaxed with PBE, using Cu Kα (weighted mean of Kα1 and Kα2).
No peak broadening, texture or thermal motion is included.

Top 10 peaks for 2θ from 10° to 90°, in order of falling intensity:
d (Å), 2θ (°), intensity
2.578, 34.80, 100
2.827, 31.65, 89
3.358, 26.55, 79
2.204, 40.94, 53
2.513, 35.73, 53
3.300, 27.02, 50
3.117, 28.64, 48
2.364, 38.07, 39
3.071, 29.08, 34
1.639, 56.11, 30

```
TbSmSe
1.0
4.2456 -5.4859 0.0000
4.2456 5.4859 0.0000
0.0000 0.0000 7.5771
Tb Sm Se
4 4 4
direct
0.2015 0.7985 0.8353
0.2985 0.7015 0.3353
0.7015 0.2985 0.6647
0.7985 0.2015 0.1647
0.2008 0.2008 0.5000
0.2992 0.2992 0.0000
0.7008 0.7008 0.0000
0.7992 0.7992 0.5000
0.0641 0.9359 0.1958
0.4359 0.5641 0.6958
0.5641 0.4359 0.3042
0.9359 0.0641 0.8042
```

=====

The following is a computed powder diffractogram of Nd3SmY6Er2. It was derived from a crystal structure in Alexandria, relaxed with PBE, using Cu Kα (weighted mean of Kα1 and Kα2).
No peak broadening, texture or thermal motion is included.

Top 10 peaks for 2θ from 10° to 90°, in order of falling intensity:
d (Å), 2θ (°), intensity
2.934, 30.46, 100
2.539, 35.36, 67
2.922, 30.59, 33
1.798, 50.78, 24
1.792, 50.95, 23
1.533, 60.40, 23
1.531, 60.47, 19
1.528, 60.61, 14
1.467, 63.39, 12
1.167, 82.73, 11

```
Nd3SmY6Er2
1.0
3.1150 -5.3922 0.0000
3.1150 5.3922 0.0000
-2.0680 0.0000 11.6895
Nd Sm Y Er
3 1 6 2
direct
0.0000 0.0000 0.0000
0.3332 0.6668 0.0000
0.6668 0.3332 0.0000
0.5000 0.5000 0.5000
0.0838 0.4175 0.2531
0.2485 0.2485 0.7467
0.4175 0.0838 0.2531
0.5825 0.9162 0.7469
0.7515 0.7515 0.2533
0.9162 0.5825 0.7469
0.1668 0.8332 0.5000
0.8332 0.1668 0.5000
```

=====

The following is a computed powder diffractogram of VNi2Mo2. It was derived from a crystal structure in Alexandria, relaxed with PBE, using Cu Kα (weighted mean of Kα1 and Kα2).
No peak broadening, texture or thermal motion is included.

Top 10 peaks for 2θ from 10° to 90°, in order of falling intensity:
d (Å), 2θ (°), intensity
2.181, 41.40, 100
1.990, 45.58, 29
2.325, 38.73, 24
1.725, 53.08, 15
1.304, 72.50, 14
1.396, 67.04, 11
1.107, 88.28, 10
4.450, 19.95, 9
1.162, 83.10, 8
1.363, 68.89, 7

```
VNi2Mo2
1.0
6.2939 0.0000 0.0000
0.0000 6.2939 0.0000
0.0000 0.0000 3.4506
V Ni Mo
2 4 4
direct
0.0000 0.0000 0.0000
0.5000 0.5000 0.0000
0.1289 0.3711 0.0000
0.3711 0.8711 0.0000
0.6289 0.1289 0.0000
0.8711 0.6289 0.0000
0.1711 0.6711 0.5000
0.3289 0.1711 0.5000
0.6711 0.8289 0.5000
0.8289 0.3289 0.5000
```

=====

The following is a computed powder diffractogram of PuCuO4. It was derived from a crystal structure in Alexandria, relaxed with PBE, using Cu Kα (weighted mean of Kα1 and Kα2).
No peak broadening, texture or thermal motion is included.

Top 10 peaks for 2θ from 10° to 90°, in order of falling intensity:
d (Å), 2θ (°), intensity
3.058, 29.21, 100
3.836, 23.18, 66
2.631, 34.07, 35
5.063, 17.52, 34
1.794, 50.91, 31
2.113, 42.80, 25
1.761, 51.92, 18
1.894, 48.04, 17
1.517, 61.11, 16
1.545, 59.88, 14

```
PuCuO4
1.0
5.0627 0.0000 0.0000
0.0000 4.9033 0.0000
0.0000 0.0000 6.1603
Pu Cu O
2 2 8
direct
0.0000 0.0000 0.0000
0.0000 0.5000 0.5000
0.5000 0.0000 0.6982
0.5000 0.5000 0.1982
0.1858 0.2246 0.7380
0.1858 0.2754 0.2380
0.2992 0.7292 0.4892
0.2992 0.7708 0.9892
0.7008 0.2292 0.9892
0.7008 0.2708 0.4892
0.8142 0.7246 0.2380
0.8142 0.7754 0.7380
```

=====

The following is a computed powder diffractogram of Ac8Co3PtCl4. It was derived from a crystal structure in Alexandria, relaxed with PBE, using Cu Kα (weighted mean of Kα1 and Kα2).
No peak broadening, texture or thermal motion is included.

Top 10 peaks for 2θ from 10° to 90°, in order of falling intensity:
d (Å), 2θ (°), intensity
3.141, 28.41, 100
3.531, 25.22, 41
2.135, 42.34, 39
7.944, 11.14, 37
2.320, 38.82, 28
2.504, 35.86, 24
1.766, 51.78, 19
1.869, 48.72, 18
1.360, 69.03, 16
1.274, 74.44, 12

```
Ac8Co3PtCl4
1.0
7.3942 -4.2692 0.0000
7.3942 4.2692 0.0000
-4.9363 0.0000 7.9438
Ac Co Pt Cl
8 3 1 4
direct
0.2228 0.7390 0.7002
0.2332 0.2332 0.6992
0.2611 0.2611 0.2999
0.2610 0.7772 0.2998
0.7390 0.2228 0.7002
0.7389 0.7389 0.7001
0.7668 0.7668 0.3008
0.7772 0.2610 0.2998
0.0000 0.0000 0.5000
0.0000 0.5000 0.5000
0.5000 0.0000 0.5000
0.5000 0.5000 0.5000
0.0000 0.0000 0.0000
0.0000 0.5000 0.0000
0.5000 0.0000 0.0000
0.5000 0.5000 0.0000
```

=====

The following is a computed powder diffractogram of LiHRu2. It was derived from a crystal structure in Alexandria, relaxed with PBE, using Cu Kα (weighted mean of Kα1 and Kα2).
No peak broadening, texture or thermal motion is included.

Top 10 peaks for 2θ from 10° to 90°, in order of falling intensity:
d (Å), 2θ (°), intensity
4.362, 20.36, 100
2.181, 41.40, 64
2.150, 42.02, 33
2.622, 34.20, 29
2.320, 38.82, 18
1.798, 50.77, 17
1.396, 67.06, 16
1.747, 52.36, 15
1.311, 72.04, 12
1.737, 52.69, 8

```
LiHRu2
1.0
4.9425 0.0000 0.0000
0.0000 4.9425 0.0000
0.0000 0.0000 9.2782
Li H Ru
4 4 8
direct
0.0000 0.2500 0.3750
0.0000 0.7500 0.6250
0.5000 0.2500 0.1250
0.5000 0.7500 0.8750
0.0000 0.2500 0.8750
0.0000 0.7500 0.1250
0.5000 0.2500 0.6250
0.5000 0.7500 0.3750
0.0000 0.0000 0.0000
0.0000 0.5000 0.0000
0.2500 0.2500 0.7500
0.2500 0.7500 0.2500
0.5000 0.0000 0.5000
0.5000 0.5000 0.5000
0.7500 0.2500 0.7500
0.7500 0.7500 0.2500
```

=====

The following is a computed powder diffractogram of Ga2Te4O11. It was derived from a crystal structure in Alexandria, relaxed with PBE, using Cu Kα (weighted mean of Kα1 and Kα2).
No peak broadening, texture or thermal motion is included.

Top 10 peaks for 2θ from 10° to 90°, in order of falling intensity:
d (Å), 2θ (°), intensity
4.077, 21.80, 100
3.098, 28.82, 73
3.253, 27.42, 72
3.860, 23.04, 65
3.304, 26.99, 60
2.618, 34.26, 58
3.284, 27.15, 47
3.267, 27.30, 45
4.335, 20.49, 43
3.012, 29.66, 30

```
Ga2Te4O11
1.0
5.2484 0.0000 0.0000
2.2946 6.2354 0.0000
0.1762 2.1776 8.1496
Ga Te O
2 4 11
direct
0.0000 0.0000 0.0000
0.2922 0.4009 0.6132
0.0398 0.0224 0.4132
0.2432 0.4353 0.9948
0.5793 0.8726 0.8023
0.7186 0.6050 0.3429
0.0173 0.2927 0.9406
0.0438 0.3124 0.3044
0.2773 0.1153 0.6612
0.3009 0.5565 0.7696
0.3697 0.8245 0.9868
0.4211 0.8667 0.4127
0.5698 0.3931 0.4684
0.6848 0.1005 0.8530
0.9177 0.9631 0.2222
0.9418 0.6931 0.0080
0.9535 0.6084 0.5108
```

=====

The following is a computed powder diffractogram of PmHF6. It was derived from a crystal structure in Alexandria, relaxed with PBE, using Cu Kα (weighted mean of Kα1 and Kα2).
No peak broadening, texture or thermal motion is included.

Top 10 peaks for 2θ from 10° to 90°, in order of falling intensity:
d (Å), 2θ (°), intensity
4.574, 19.41, 100
4.469, 19.87, 89
4.672, 19.00, 86
2.638, 33.98, 68
2.070, 43.73, 50
1.866, 48.79, 50
1.886, 48.25, 49
3.229, 27.62, 46
2.008, 45.16, 46
2.054, 44.09, 44

```
PmHF6
1.0
4.4688 0.0000 0.0000
0.0000 4.5739 0.0000
0.0000 0.0000 4.6719
Pm H F
1 1 6
direct
0.0000 0.0000 0.0000
0.5000 0.0000 0.5000
0.0000 0.2131 0.5000
0.0000 0.7869 0.5000
0.2175 0.5000 0.0000
0.5000 0.0000 0.2543
0.5000 0.0000 0.7457
0.7825 0.5000 0.0000
```

=====

The following is a computed powder diffractogram of Tb2AuBr2. It was derived from a crystal structure in Alexandria, relaxed with PBE, using Cu Kα (weighted mean of Kα1 and Kα2).
No peak broadening, texture or thermal motion is included.

Top 10 peaks for 2θ from 10° to 90°, in order of falling intensity:
d (Å), 2θ (°), intensity
3.079, 29.00, 100
2.679, 33.45, 45
2.082, 43.46, 37
1.995, 45.46, 36
2.421, 37.14, 26
1.370, 68.49, 21
1.674, 54.83, 17
1.283, 73.89, 14
1.965, 46.20, 12
1.168, 82.61, 12

```
Tb2AuBr2
1.0
3.9905 0.0000 0.0000
-1.9952 3.4558 0.0000
0.0000 0.0000 33.9150
Tb Au Br
6 3 6
direct
0.0000 0.0000 0.1125
0.0000 0.0000 0.8875
0.3333 0.6667 0.5542
0.3333 0.6667 0.7792
0.6667 0.3333 0.2208
0.6667 0.3333 0.4458
0.0000 0.0000 0.5000
0.3333 0.6667 0.1667
0.6667 0.3333 0.8333
0.0000 0.0000 0.2762
0.0000 0.0000 0.7238
0.3333 0.6667 0.3904
0.3333 0.6667 0.9429
0.6667 0.3333 0.0571
0.6667 0.3333 0.6096
```

=====

The following is a computed powder diffractogram of Nd2InBi4. It was derived from a crystal structure in Alexandria, relaxed with PBE, using Cu Kα (weighted mean of Kα1 and Kα2).
No peak broadening, texture or thermal motion is included.

Top 10 peaks for 2θ from 10° to 90°, in order of falling intensity:
d (Å), 2θ (°), intensity
2.787, 32.11, 100
2.293, 39.29, 37
1.402, 66.74, 25
3.510, 25.38, 21
3.108, 28.72, 20
2.344, 38.41, 15
3.635, 24.49, 14
1.755, 52.12, 13
1.621, 56.78, 13
2.726, 32.85, 12

```
Nd2InBi4
1.0
4.5863 0.0000 0.0000
0.0000 4.5863 0.0000
0.0000 0.0000 10.9056
Nd In Bi
2 1 4
direct
0.0000 0.5000 0.2334
0.5000 0.0000 0.7666
0.0000 0.0000 0.5000
0.0000 0.0000 0.0000
0.0000 0.5000 0.6854
0.5000 0.0000 0.3146
0.5000 0.5000 0.0000
```

=====

The following is a computed powder diffractogram of Ba3Sr5Tl2. It was derived from a crystal structure in Alexandria, relaxed with PBE, using Cu Kα (weighted mean of Kα1 and Kα2).
No peak broadening, texture or thermal motion is included.

Top 10 peaks for 2θ from 10° to 90°, in order of falling intensity:
d (Å), 2θ (°), intensity
3.367, 26.47, 100
3.085, 28.94, 46
2.797, 31.99, 29
2.864, 31.23, 25
3.234, 27.58, 22
4.217, 21.07, 17
5.963, 14.86, 16
2.982, 29.97, 15
1.706, 53.74, 14
2.172, 41.57, 14

```
Ba3Sr5Tl2
1.0
13.3347 0.0000 0.0000
0.0000 13.3347 0.0000
0.0000 0.0000 5.5949
Ba Sr Tl
6 10 4
direct
0.0000 0.0000 0.0000
0.1650 0.3350 0.0000
0.3350 0.8350 0.0000
0.5000 0.5000 0.0000
0.6650 0.1650 0.0000
0.8350 0.6650 0.0000
0.0000 0.5000 0.5000
0.0778 0.7828 0.5000
0.2172 0.0778 0.5000
0.2828 0.5778 0.5000
0.4222 0.2828 0.5000
0.5000 0.0000 0.5000
0.5778 0.7172 0.5000
0.7172 0.4222 0.5000
0.7828 0.9222 0.5000
0.9222 0.2172 0.5000
0.1217 0.6217 0.0000
0.3783 0.1217 0.0000
0.6217 0.8783 0.0000
0.8783 0.3783 0.0000
```